No. 1
Structure and simulated powder XRD pattern of Li2FeP2O7 (a structure optimized by DFT (GGA+U); Cu Ka).

Structure:
Lattice parameters (Å, degrees): 5.139 8.809 13.326 76.96 88.84 88.97
Fractional coordinates of all 48 atoms:
Li: 0.000 0.000 0.000
Li: 0.016 0.223 0.318
Li: 0.062 0.439 0.503
Li: 0.078 0.662 0.821
Li: 0.500 0.500 0.000
Li: 0.517 0.723 0.319
Li: 0.561 0.939 0.502
Li: 0.578 0.162 0.821
Fe: 0.039 0.331 0.910
Fe: 0.039 0.831 0.411
Fe: 0.539 0.331 0.411
Fe: 0.539 0.831 0.911
P: 0.009 0.645 0.042
P: 0.026 0.561 0.279
P: 0.052 0.101 0.542
P: 0.069 0.017 0.779
P: 0.509 0.144 0.041
P: 0.526 0.062 0.279
P: 0.552 0.600 0.543
P: 0.569 0.517 0.780
O: 0.013 0.103 0.662
O: 0.065 0.559 0.159
O: 0.113 0.526 0.982
O: 0.143 0.712 0.296
O: 0.162 0.796 0.014
O: 0.182 0.417 0.333
O: 0.213 0.170 0.030
O: 0.236 0.047 0.307
O: 0.342 0.116 0.513
O: 0.365 0.991 0.791
O: 0.397 0.744 0.487
O: 0.416 0.365 0.807
O: 0.435 0.448 0.526
O: 0.465 0.636 0.840
O: 0.513 0.603 0.662
O: 0.565 0.058 0.159
O: 0.613 0.026 0.981
O: 0.643 0.213 0.295
O: 0.662 0.296 0.014
O: 0.681 0.917 0.333
O: 0.713 0.671 0.030
O: 0.736 0.546 0.308
O: 0.843 0.615 0.514
O: 0.865 0.491 0.791
O: 0.896 0.245 0.488
O: 0.916 0.865 0.807
O: 0.935 0.949 0.525
O: 0.965 0.136 0.839

Principal peaks in the range 10° ≤ 2θ ≤ 80°, in order of falling intensity:
2θ (°)	Rel. int.	index
22.03	100.0	1 1 -1
13.64	75.4	0 0 2
22.11	55.6	0 2 2
34.93	43.6	1 3 1
30.46	21.2	1 -1 3
30.57	17.4	0 2 4
30.70	15.2	1 1 -3
42.16	11.3	-2 2 2
55.46	11.3	3 1 -1
37.81	10.7	1 1 5
27.48	10.6	0 0 4
38.48	10.5	-1 1 5



No. 2
Structure and simulated powder XRD pattern of LiFePO4 (a structure optimized by DFT (GGA+U); Cu Ka).

Structure:
Lattice parameters (Å, degrees): 5.605 6.320 9.207 75.68 83.13 76.40
Fractional coordinates of all 28 atoms:
Li: 0.000 0.000 0.000
Li: 0.203 0.162 0.358
Li: 0.550 0.884 0.154
Li: 0.759 0.046 0.510
Fe: 0.109 0.356 0.668
Fe: 0.228 0.468 0.051
Fe: 0.552 0.575 0.466
Fe: 0.659 0.695 0.841
P: 0.068 0.702 0.330
P: 0.187 0.833 0.703
P: 0.579 0.224 0.806
P: 0.700 0.341 0.180
O: 0.002 0.689 0.695
O: 0.045 0.700 0.163
O: 0.084 0.069 0.606
O: 0.171 0.462 0.425
O: 0.221 0.830 0.868
O: 0.264 0.841 0.335
O: 0.319 0.321 0.871
O: 0.452 0.739 0.640
O: 0.500 0.204 0.177
O: 0.541 0.238 0.638
O: 0.596 0.581 0.083
O: 0.678 0.985 0.899
O: 0.725 0.343 0.346
O: 0.771 0.364 0.813
O: 0.807 0.800 0.393
O: 0.957 0.240 0.115

Principal peaks in the range 10° ≤ 2θ ≤ 80°, in order of falling intensity:
2θ (°)	Rel. int.	index
14.81	100.0	0 1 0
32.97	86.6	2 1 1
22.02	46.6	0 1 2
32.04	45.0	0 2 2
33.17	44.7	1 -1 2
34.95	41.9	1 2 -1
25.01	36.1	1 0 2
35.40	35.6	1 0 -3
33.45	35.4	1 0 3
23.96	27.2	1 1 -1
52.46	23.2	2 3 3
59.61	20.2	-1 2 5